Record 1
Structure and computed powder diffraction line list of LiNiP3O9 (the PBE+U geometry in the Materials Project; a wavelength of 1.5418 Å).

Principal peaks in the range 2θ from 5° to 70°, in order of rising 2θ:
17.86 deg, d 4.967, rel. 1000, hkl 1 1 1
22.63 deg, d 3.929, rel. 829, hkl 0 1 2
23.13 deg, d 3.845, rel. 585, hkl 0 2 1
25.46 deg, d 3.499, rel. 516, hkl 1 2 1
33.22 deg, d 2.697, rel. 565, hkl 1 3 0
33.43 deg, d 2.681, rel. 516, hkl 3 0 1

```
data_LiNiP3O9
_chemical_formula_sum 'Li4 Ni4 P12 O36'
_space_group_name_H-M_alt 'P 21 21 21'
_space_group_IT_number 19
_space_group_name_Hall 'P 2ac 2ab'
_cell_length_a 8.4380
_cell_length_b 8.5377
_cell_length_c 8.8519
_cell_angle_alpha 90.00
_cell_angle_beta 90.00
_cell_angle_gamma 90.00
loop_
_atom_site_label
_atom_site_fract_x
_atom_site_fract_y
_atom_site_fract_z
Li1 0.1297 0.1429 0.1622
Ni1 0.1538 0.8688 0.3878
P1 0.0276 0.6842 0.6771
P2 0.1866 0.5229 0.1913
P3 0.2015 0.1894 0.5685
O1 0.0403 0.2334 0.6600
O2 0.0864 0.3881 0.1387
O3 0.1059 0.1288 0.9216
O4 0.1286 0.6217 0.3211
O5 0.1306 0.8134 0.6152
O6 0.1393 0.5417 0.7307
O7 0.1600 0.1249 0.4161
O8 0.1904 0.9086 0.1658
O9 0.2256 0.6367 0.0483
```

Record 2
Structure and computed powder diffraction line list of Li9Mn2Co5O16 (the PBE+U geometry in the Materials Project; a wavelength of 1.5418 Å).

Principal peaks in the range 2θ from 5° to 70°, in order of rising 2θ:
18.48 deg, d 4.802, rel. 1000, hkl 1 0 0
34.81 deg, d 2.578, rel. 178, hkl 1 0 -2
36.79 deg, d 2.443, rel. 235, hkl 0 4 1
41.89 deg, d 2.156, rel. 308, hkl 2 0 -2
44.74 deg, d 2.026, rel. 504, hkl 1 4 1
62.90 deg, d 1.478, rel. 152, hkl 1 4 -3

```
data_Li9Mn2Co5O16
_chemical_formula_sum 'Li9 Mn2 Co5 O16'
_space_group_name_H-M_alt 'P 1 2 1'
_space_group_IT_number 3
_space_group_name_Hall 'P 2y'
_cell_length_a 5.1888
_cell_length_b 11.3427
_cell_length_c 5.1997
_cell_angle_alpha 90.00
_cell_angle_beta 112.26
_cell_angle_gamma 90.00
loop_
_atom_site_label
_atom_site_fract_x
_atom_site_fract_y
_atom_site_fract_z
Li1 0.0000 0.0000 0.0000
Li2 0.0000 0.1160 0.5000
Li3 0.0000 0.2390 0.0000
Li4 0.0000 0.3671 0.5000
Li5 0.0000 0.4924 0.0000
Li6 0.0000 0.6162 0.5000
Li7 0.0000 0.7484 0.0000
Li8 0.0000 0.8779 0.5000
Li9 0.5000 0.1177 0.0000
Mn1 0.5000 0.2445 0.5000
Mn2 0.5000 0.7458 0.5000
Co1 0.5000 0.3695 0.0000
Co2 0.5000 0.4949 0.5000
Co3 0.5000 0.6178 0.0000
Co4 0.5000 0.8758 0.0000
Co5 0.5000 0.9957 0.5000
O1 0.2637 0.1213 0.2846
O2 0.2639 0.8671 0.2778
O3 0.2653 0.6202 0.2733
O4 0.2669 0.3720 0.2730
O5 0.2721 0.9867 0.7640
O6 0.2772 0.4962 0.7703
O7 0.2899 0.2525 0.7452
O8 0.2959 0.7430 0.7530
```

Record 3
Structure and computed powder diffraction line list of Mn3Se4O12 (the PBE+U geometry in the Materials Project; a wavelength of 1.5418 Å).

Principal peaks in the range 2θ from 5° to 70°, in order of rising 2θ:
12.69 deg, d 6.975, rel. 351, hkl 1 0 0
20.29 deg, d 4.376, rel. 242, hkl 1 1 2
24.05 deg, d 3.700, rel. 1000, hkl -1 1 2
26.87 deg, d 3.318, rel. 230, hkl 2 2 0
30.48 deg, d 2.933, rel. 303, hkl 1 -1 2
39.76 deg, d 2.267, rel. 190, hkl 3 1 -2

```
data_Mn3Se4O12
_chemical_formula_sum 'Mn6 Se8 O24'
_space_group_name_H-M_alt 'P -1'
_space_group_IT_number 2
_space_group_name_Hall '-P 1'
_cell_length_a 7.6670
_cell_length_b 8.4996
_cell_length_c 10.4772
_cell_angle_alpha 73.53
_cell_angle_beta 88.23
_cell_angle_gamma 66.06
loop_
_atom_site_label
_atom_site_fract_x
_atom_site_fract_y
_atom_site_fract_z
Mn1 0.0000 0.0000 0.0000
Mn2 0.0000 0.0000 0.5000
Mn3 0.0526 0.2748 0.2197
Mn4 0.0560 0.6251 0.3198
Se1 0.2702 0.2418 0.9422
Se2 0.2808 0.2056 0.5151
Se3 0.3143 0.7302 0.7947
Se4 0.3194 0.8092 0.2783
O1 0.0644 0.4110 0.8499
O2 0.1062 0.1256 0.5789
O3 0.1146 0.7616 0.8973
O4 0.1188 0.8368 0.1773
O5 0.1471 0.7522 0.6595
O6 0.1884 0.3357 0.3500
O7 0.2093 0.3664 0.5932
O8 0.2161 0.9816 0.3558
O9 0.2320 0.0463 0.9624
O10 0.2545 0.2648 0.1015
O11 0.3143 0.6283 0.3930
O12 0.4516 0.5140 0.8447
```

Record 4
Structure and computed powder diffraction line list of MnAlF5 (the PBE+U geometry in the Materials Project; a wavelength of 1.5418 Å).

Principal peaks in the range 2θ from 5° to 70°, in order of rising 2θ:
23.17 deg, d 3.838, rel. 1000, hkl 0 0 2
27.95 deg, d 3.193, rel. 661, hkl 0 2 0
28.24 deg, d 3.160, rel. 948, hkl 1 1 0
39.34 deg, d 2.290, rel. 526, hkl 1 2 1
47.37 deg, d 1.919, rel. 364, hkl 0 0 4
49.63 deg, d 1.837, rel. 337, hkl 1 3 0

```
data_MnAlF5
_chemical_formula_sum 'Mn2 Al2 F10'
_space_group_name_H-M_alt 'I m m m'
_space_group_IT_number 71
_space_group_name_Hall '-I 2 2'
_cell_length_a 3.6372
_cell_length_b 6.3854
_cell_length_c 7.6768
_cell_angle_alpha 90.00
_cell_angle_beta 90.00
_cell_angle_gamma 90.00
loop_
_atom_site_label
_atom_site_fract_x
_atom_site_fract_y
_atom_site_fract_z
Mn1 0.0000 0.0000 0.0000
Al1 0.0000 0.0000 0.5000
F1 0.0000 0.0000 0.2663
F2 0.0000 0.2905 0.5000
F3 0.0000 0.5000 0.0000
```